For YTh2Sc3, a crystal structure in Alexandria, relaxed with PBE gives the theoretical powder X-ray diffraction pattern in this record (Cu Ka).
Intensities are scaled so that the largest is 100.

Structure:
Cell: 3.492 3.492 13.973 Å, 90.00 90.00 90.00°
Atoms (fractional coordinates):
Y 0.000 0.000 0.000
Th 0.000 0.000 0.334
Th 0.000 0.000 0.666
Sc 0.500 0.500 0.172
Sc 0.500 0.500 0.500
Sc 0.500 0.500 0.828

Main lines, sorted by position (10 to 90 degrees two-theta):
(0 0 3), 2θ 19.1, I = 30.5; (1 0 0), 2θ 25.5, I = 32.5; (1 0 3), 2θ 32.0, I = 100.0; (1 1 0), 2θ 36.4, I = 38.8; (0 0 6), 2θ 38.7, I = 17.2; (1 1 3), 2θ 41.4, I = 20.3; (1 0 6), 2θ 46.9, I = 13.0; (2 0 0), 2θ 52.4, I = 12.6; (1 1 6), 2θ 54.1, I = 23.2; (2 1 3), 2θ 62.7, I = 28.9; (1 0 9), 2θ 65.8, I = 12.2; (2 0 6), 2θ 67.0, I = 11.8